Entry 1:
For CeGaAg, a cell relaxed with GGA-PBE gives the simulated powder X-ray diffraction pattern in this record (Cu Kα X-rays).

```
data_CeGaAg
_chemical_formula_sum 'Ce4 Ga4 Ag4'
_cell_length_a 4.680
_cell_length_b 7.405
_cell_length_c 7.860
_cell_angle_alpha 90.00
_cell_angle_beta 90.00
_cell_angle_gamma 90.00
_space_group_name_H-M_alt 'P m n a'
_space_group_IT_number 53
_space_group_name_Hall '-P 2ac 2'
loop_
_atom_site_label
_atom_site_type_symbol
_atom_site_fract_x
_atom_site_fract_y
_atom_site_fract_z
Ce1 Ce 0.000 0.245 0.044
Ga1 Ga 0.000 0.460 0.664
Ag1 Ag 0.000 0.072 0.661
```

Largest 12 diffraction maxima, most intense first, 5 to 70 degrees two-theta:
- 2θ = 32.88°, rel. 1000
- 2θ = 39.41°, rel. 569
- 2θ = 32.10°, rel. 465
- 2θ = 38.48°, rel. 460
- 2θ = 33.24°, rel. 375
- 2θ = 38.22°, rel. 244
- 2θ = 63.72°, rel. 221
- 2θ = 51.74°, rel. 211
- 2θ = 55.35°, rel. 160
- 2θ = 66.07°, rel. 129
- 2θ = 36.38°, rel. 96
- 2θ = 54.57°, rel. 92

=====

Entry 2:
For La9Ru2Br14, a cell relaxed with GGA-PBE gives the simulated powder X-ray diffraction pattern in this record (Cu Kα X-rays).

```
data_La9Ru2Br14
_chemical_formula_sum 'La9 Ru2 Br14'
_cell_length_a 8.9046
_cell_length_b 8.9046
_cell_length_c 11.9879
_cell_angle_alpha 90.00
_cell_angle_beta 90.00
_cell_angle_gamma 120.00
_space_group_name_H-M_alt 'P -3'
_space_group_IT_number 147
_space_group_name_Hall '-P 3'
loop_
_atom_site_label
_atom_site_type_symbol
_atom_site_fract_x
_atom_site_fract_y
_atom_site_fract_z
La1 La 0.0000 0.0000 0.0000
La2 La 0.0895 0.3608 0.3514
La3 La 0.3333 0.6667 0.0615
Ru1 Ru 0.3333 0.6667 0.2674
Br1 Br 0.0000 0.0000 0.2537
Br2 Br 0.0495 0.6901 0.9065
Br3 Br 0.0954 0.4167 0.6068
```

Largest 12 diffraction maxima, most intense first, 5 to 70 degrees two-theta:
- 2θ = 21.29°, rel. 1000
- 2θ = 36.13°, rel. 957
- 2θ = 31.59°, rel. 933
- 2θ = 34.90°, rel. 823
- 2θ = 13.65°, rel. 557
- 2θ = 22.25°, rel. 500
- 2θ = 38.22°, rel. 411
- 2θ = 30.67°, rel. 365
- 2θ = 27.51°, rel. 325
- 2θ = 42.95°, rel. 278
- 2θ = 44.50°, rel. 235
- 2θ = 49.21°, rel. 223